Starting from a DFT-relaxed cell (PBE, Alexandria), the PXRD pattern of LaYTe2O was simulated for Cu Kα (λ = 1.5418 Å).

The 10 most intense peaks (2θ = 10–90°), in order of rising 2θ:
- 26.92 deg, rel. 77
- 29.59 deg, rel. 100
- 30.90 deg, rel. 19
- 35.42 deg, rel. 38
- 37.55 deg, rel. 19
- 42.34 deg, rel. 43
- 50.89 deg, rel. 27
- 56.35 deg, rel. 20
- 61.42 deg, rel. 14
- 69.64 deg, rel. 17

Crystal structure
```
data_LaYTe2O
_chemical_formula_sum 'La2 Y2 Te4 O2'
_cell_length_a 4.2695
_cell_length_b 4.2695
_cell_length_c 15.7430
_cell_angle_alpha 90.00
_cell_angle_beta 90.00
_cell_angle_gamma 90.00
_space_group_name_H-M_alt 'P 4/n m m'
_space_group_IT_number 129
loop_
_space_group_symop_operation_xyz
'x,y,z'
'-x,-y,-z'
'-y+1/2,x,z'
'y+1/2,-x,-z'
'-x+1/2,-y+1/2,z'
'x+1/2,y+1/2,-z'
'y,-x+1/2,z'
'-y,x+1/2,-z'
'x+1/2,-y,-z'
'-x+1/2,y,z'
'-y,-x,-z'
'y,x,z'
'-x,y+1/2,-z'
'x,-y+1/2,z'
'y+1/2,x+1/2,-z'
'-y+1/2,-x+1/2,z'
loop_
_atom_site_label
_atom_site_fract_x
_atom_site_fract_y
_atom_site_fract_z
La1 0.2500 0.2500 0.0727
Y1 0.2500 0.2500 0.6263
Te1 0.2500 0.2500 0.4144
Te2 0.2500 0.2500 0.8077
O1 0.2500 0.7500 0.0000
```